[1]
Theoretical powder diffractogram
Compound: Li2AlNiO4
Radiation: CuKα
Structure: a DFT-relaxed cell (PBE+U, the Materials Project)
Neutral-atom scattering factors, no anomalous dispersion.

Cell and atoms:
```
Li2AlNiO4
1.0
10.7449 0.0000 0.0000
0.0000 6.3590 0.0000
0.0000 0.0000 4.9851
Li Al Ni O
8 4 4 16
Direct
0.0826 0.2443 0.9999
0.1650 0.9957 0.5000
0.3350 0.4957 0.0000
0.4174 0.7443 0.4999
0.5826 0.2557 0.9999
0.6650 0.5043 0.5000
0.8350 0.0043 0.0000
0.9174 0.7557 0.4999
0.1661 0.4927 0.5054
0.3339 0.9927 0.0054
0.6661 0.0073 0.5054
0.8339 0.5073 0.0054
0.0858 0.7427 0.0036
0.4142 0.2427 0.5036
0.5858 0.7573 0.0036
0.9142 0.2573 0.5036
0.0813 0.2630 0.4038
0.0947 0.7253 0.3782
0.1631 0.5065 0.8637
0.1749 0.9807 0.9005
0.3251 0.4807 0.4005
0.3369 0.0065 0.3637
0.4053 0.2253 0.8782
0.4187 0.7630 0.9038
0.5813 0.2370 0.4038
0.5947 0.7747 0.3782
0.6631 0.9935 0.8637
0.6749 0.5193 0.9005
0.8251 0.0193 0.4005
0.8369 0.4935 0.3637
0.9053 0.2747 0.8782
0.9187 0.7370 0.9038
```

The 12 most intense peaks (2θ = 10–90°), low angle first:
Position (°2θ), Rel. int., (hkl)
21.7, 809, 2 1 0
22.7, 1000, 0 1 1
28.2, 233, 2 1 1
32.7, 600, 2 2 0
33.4, 350, 4 0 0
36.0, 557, 0 0 2
37.5, 467, 2 2 1
38.1, 203, 4 0 1
58.0, 206, 0 4 0
59.2, 363, 6 2 0
65.7, 317, 2 2 3
71.3, 230, 6 2 2

***

[2]
Theoretical powder diffractogram
Compound: MnP2O7
Radiation: CuKα
Structure: a DFT-relaxed cell (PBE+U, the Materials Project)
Neutral-atom scattering factors, no anomalous dispersion.

Cell and atoms:
```
MnP2O7
1.0
4.7614 0.0000 0.0000
0.0000 7.8335 0.0000
-1.9103 0.0000 6.6294
Mn P O
2 4 14
Direct
0.2188 0.0000 0.2283
0.7812 0.5000 0.7717
0.2295 0.7330 0.6018
0.3903 0.3201 0.0095
0.6097 0.8201 0.9905
0.7705 0.2330 0.3982
0.0457 0.1851 0.3366
0.1341 0.8352 0.4069
0.1508 0.4545 0.9612
0.2786 0.1367 0.0172
0.4100 0.8189 0.1314
0.4176 0.8661 0.7653
0.4213 0.5758 0.5927
0.5787 0.0758 0.4073
0.5824 0.3661 0.2347
0.5900 0.3189 0.8686
0.7214 0.6367 0.9828
0.8492 0.9545 0.0388
0.8659 0.3352 0.5931
0.9543 0.6851 0.6634
```

The 12 most intense peaks (2θ = 10–90°), low angle first:
Position (°2θ), Rel. int., (hkl)
17.5, 1000, 0 1 1
22.5, 250, 1 1 0
23.3, 305, 1 1 -1
26.4, 99, 0 2 1
26.6, 154, 1 0 1
28.9, 199, 1 1 1
29.3, 88, 0 1 2
30.6, 445, 1 2 -1
30.8, 211, 1 1 -2
35.5, 94, 0 2 2
39.4, 117, 1 1 2
45.2, 86, 1 3 -2